Entry 1:
For CdRu3, a structure optimized by DFT (GGA-PBE) gives the calculated XRD peak list in this record (Cu Ka).

Structural model:
Cell: 2.7968 2.7968 9.0240 Å, 90.00 90.00 120.00°
Space group P-6m2 (No. 187)
Unique sites:
Cd1 0.0000 0.0000 0.0000 (multiplicity 1)
Ru1 0.0000 0.0000 0.5000 (multiplicity 1)
Ru2 0.3333 0.6667 0.2724 (multiplicity 2)

Largest 10 diffraction maxima, sorted by position, 2θ from 10° to 90°:
| two_theta | I_rel | (hkl) |
| --- | --- | --- |
| 37.12 | 25 | 1 0 0 |
| 39.96 | 23 | 0 0 4 |
| 42.35 | 100 | 1 0 2 |
| 48.24 | 3 | 1 0 3 |
| 55.68 | 13 | 1 0 4 |
| 64.37 | 4 | 1 0 5 |
| 66.91 | 17 | 1 1 0 |
| 74.22 | 13 | 1 0 6 |
| 80.87 | 17 | 1 1 4 |
| 82.46 | 14 | 2 0 2 |

---

Entry 2:
For CdRu2, a structure optimized by DFT (GGA-PBE) gives the calculated XRD peak list in this record (Cu Ka).

Structural model:
Cell: 2.8017 2.8017 6.9758 Å, 90.00 90.00 120.00°
Space group P-3m1 (No. 164)
Unique sites:
Cd1 0.0000 0.0000 0.0000 (multiplicity 1)
Ru1 0.3333 0.6667 0.6445 (multiplicity 2)

Largest 10 diffraction maxima, sorted by position, 2θ from 10° to 90°:
| two_theta | I_rel | (hkl) |
| --- | --- | --- |
| 25.54 | 4 | 0 0 2 |
| 38.72 | 31 | 0 0 3 |
| 39.32 | 100 | 1 0 1 |
| 45.54 | 63 | 0 1 2 |
| 65.97 | 20 | 1 0 4 |
| 66.78 | 20 | 1 1 0 |
| 79.20 | 10 | 0 1 5 |
| 79.95 | 21 | 1 1 3 |
| 80.33 | 12 | 0 2 1 |
| 84.57 | 10 | 2 0 2 |

---

Entry 3:
For Cd2Ru, a structure optimized by DFT (GGA-PBE) gives the calculated XRD peak list in this record (Cu Ka).

Structural model:
Cell: 5.796 4.521 8.518 Å, 90.00 90.00 90.00°
Space group Pnma (No. 62)
Unique sites:
Cd1 0.075 0.250 0.111 (multiplicity 4)
Cd2 0.235 0.250 0.781 (multiplicity 4)
Ru1 0.071 0.250 0.466 (multiplicity 4)

Largest 10 diffraction maxima, sorted by position, 2θ from 10° to 90°:
| two_theta | I_rel | (hkl) |
| --- | --- | --- |
| 35.20 | 31 | 1 0 3 |
| 36.84 | 60 | 2 1 0 |
| 37.40 | 100 | 0 1 3 |
| 37.54 | 46 | 2 0 2 |
| 38.38 | 79 | 2 1 1 |
| 39.88 | 70 | 0 2 0 |
| 40.62 | 37 | 1 1 3 |
| 44.68 | 19 | 2 0 3 |
| 55.93 | 28 | 2 2 2 |
| 77.65 | 20 | 3 1 5 |

---

Entry 4:
For Cd2Ru, a structure optimized by DFT (GGA-PBE) gives the calculated XRD peak list in this record (Cu Ka).

Structural model:
Cell: 10.761 2.983 7.031 Å, 90.00 104.76 90.00°
Space group Cm (No. 8)
Unique sites:
Cd1 0.000 0.000 0.000 (multiplicity 2)
Cd2 0.033 0.000 0.594 (multiplicity 2)
Cd3 0.158 0.500 0.327 (multiplicity 2)
Cd4 0.313 0.000 0.673 (multiplicity 2)
Ru1 0.227 0.500 0.963 (multiplicity 2)
Ru2 0.366 0.000 0.248 (multiplicity 2)

Largest 10 diffraction maxima, sorted by position, 2θ from 10° to 90°:
| two_theta | I_rel | (hkl) |
| --- | --- | --- |
| 34.80 | 29 | 1 1 1 |
| 35.02 | 21 | 2 0 2 |
| 37.81 | 52 | 4 0 -2 |
| 39.67 | 74 | 1 1 -2 |
| 39.83 | 100 | 3 1 0 |
| 40.15 | 27 | 4 0 1 |
| 52.18 | 17 | 2 0 -4 |
| 62.67 | 19 | 3 1 3 |
| 69.39 | 18 | 5 1 -4 |
| 75.19 | 24 | 4 2 -2 |

---

Entry 5:
For CdSb2Ru, a structure optimized by DFT (GGA-PBE) gives the calculated XRD peak list in this record (Cu Ka).

Structural model:
Cell: 3.5218 3.5218 25.4883 Å, 90.00 90.00 120.00°
Space group R-3m (No. 166, hexagonal axes)
Unique sites:
Cd1 0.0000 0.0000 0.0000 (multiplicity 3)
Sb1 0.0000 0.0000 0.2364 (multiplicity 6)
Ru1 0.0000 0.0000 0.5000 (multiplicity 3)

Largest 10 diffraction maxima, sorted by position, 2θ from 10° to 90°:
| two_theta | I_rel | (hkl) |
| --- | --- | --- |
| 10.41 | 7 | 0 0 3 |
| 31.59 | 6 | 0 0 9 |
| 32.55 | 100 | 1 0 4 |
| 40.96 | 44 | 0 1 8 |
| 42.56 | 9 | 0 0 12 |
| 51.93 | 28 | 1 1 0 |
| 62.64 | 15 | 0 2 4 |
| 68.17 | 9 | 2 0 8 |
| 69.32 | 13 | 1 1 12 |
| 85.63 | 12 | 2 1 4 |

---

Entry 6:
For Sc3Cd2Ru, a structure optimized by DFT (GGA-PBE) gives the calculated XRD peak list in this record (Cu Ka).

Structural model:
Cell: 4.765 14.217 7.146 Å, 90.00 90.00 90.00°
Space group Cmmm (No. 65)
Unique sites:
Sc1 0.000 0.000 0.229 (multiplicity 4)
Sc2 0.000 0.325 0.219 (multiplicity 8)
Cd1 0.000 0.166 0.500 (multiplicity 4)
Cd2 0.000 0.500 0.000 (multiplicity 2)
Cd3 0.000 0.500 0.500 (multiplicity 2)
Ru1 0.000 0.164 0.000 (multiplicity 4)

Largest 10 diffraction maxima, sorted by position, 2θ from 10° to 90°:
| two_theta | I_rel | (hkl) |
| --- | --- | --- |
| 24.92 | 14 | 0 0 2 |
| 26.53 | 22 | 1 3 0 |
| 36.72 | 100 | 1 3 2 |
| 37.76 | 25 | 2 0 0 |
| 37.97 | 23 | 0 6 0 |
| 51.13 | 8 | 0 0 4 |
| 54.63 | 16 | 2 6 0 |
| 67.49 | 15 | 3 3 2 |
| 67.78 | 15 | 1 9 2 |
| 78.08 | 9 | 2 6 4 |

---

Entry 7:
For Sc6CdRu5, a structure optimized by DFT (GGA-PBE) gives the calculated XRD peak list in this record (Cu Ka).

Structural model:
Cell: 4.601 6.566 7.227 Å, 90.00 108.44 90.00°
Space group P2/m (No. 10)
Unique sites:
Sc1 0.000 0.231 0.000 (multiplicity 2)
Sc2 0.326 0.244 0.653 (multiplicity 4)
Cd1 0.500 0.500 0.000 (multiplicity 1)
Ru1 0.164 0.500 0.328 (multiplicity 2)
Ru2 0.166 0.000 0.333 (multiplicity 2)
Ru3 0.500 0.000 0.000 (multiplicity 1)

Largest 10 diffraction maxima, sorted by position, 2θ from 10° to 90°:
| two_theta | I_rel | (hkl) |
| --- | --- | --- |
| 27.16 | 11 | 0 2 0 |
| 27.51 | 21 | 1 0 1 |
| 39.04 | 100 | 1 2 1 |
| 39.16 | 25 | 2 0 -1 |
| 39.43 | 24 | 0 0 3 |
| 56.02 | 8 | 0 4 0 |
| 56.72 | 8 | 2 0 2 |
| 70.47 | 8 | 2 4 -1 |
| 70.89 | 16 | 3 2 0 |
| 71.24 | 15 | 1 2 4 |

---

Entry 8:
For CdSi4Ru, a structure optimized by DFT (GGA-PBE) gives the calculated XRD peak list in this record (Cu Ka).

Structural model:
Cell: 7.200 7.200 7.200 Å, 90.00 90.00 90.00°
Space group F-43m (No. 216)
Unique sites:
Cd1 0.000 0.000 0.000 (multiplicity 4)
Si1 0.124 0.124 0.376 (multiplicity 16)
Ru1 0.250 0.250 0.750 (multiplicity 4)

Largest 10 diffraction maxima, sorted by position, 2θ from 10° to 90°:
| two_theta | I_rel | (hkl) |
| --- | --- | --- |
| 21.37 | 38 | 1 1 1 |
| 35.26 | 86 | 2 2 0 |
| 41.60 | 100 | 3 1 1 |
| 43.54 | 8 | 2 2 2 |
| 55.64 | 9 | 3 3 1 |
| 63.27 | 30 | 4 2 2 |
| 67.61 | 30 | 5 1 1 |
| 74.55 | 21 | 4 4 0 |
| 85.24 | 13 | 6 2 0 |
| 89.19 | 11 | 5 3 3 |

---

Entry 9:
For CdSiRu2, a structure optimized by DFT (GGA-PBE) gives the calculated XRD peak list in this record (Cu Ka).

Structural model:
Cell: 2.963 2.963 6.766 Å, 90.00 90.00 90.00°
Space group P4/mmm (No. 123)
Unique sites:
Cd1 0.000 0.000 0.000 (multiplicity 1)
Si1 0.000 0.000 0.500 (multiplicity 1)
Ru1 0.500 0.500 0.298 (multiplicity 2)

Largest 10 diffraction maxima, sorted by position, 2θ from 10° to 90°:
| two_theta | I_rel | (hkl) |
| --- | --- | --- |
| 33.00 | 40 | 1 0 1 |
| 39.98 | 17 | 0 0 3 |
| 40.47 | 100 | 1 0 2 |
| 43.18 | 52 | 1 1 0 |
| 60.30 | 19 | 1 1 3 |
| 62.71 | 17 | 2 0 0 |
| 71.72 | 8 | 1 1 4 |
| 77.01 | 9 | 2 0 3 |
| 77.34 | 28 | 2 1 2 |
| 77.56 | 12 | 1 0 5 |

---

Entry 10:
For Sm8Cd3Ru2, a structure optimized by DFT (GGA-PBE) gives the calculated XRD peak list in this record (Cu Ka).

Structural model:
Cell: 17.640 8.076 5.088 Å, 90.00 92.03 90.00°
Space group C2/m (No. 12)
Unique sites:
Sm1 0.072 0.000 0.254 (multiplicity 4)
Sm2 0.163 0.500 0.236 (multiplicity 4)
Sm3 0.171 0.221 0.749 (multiplicity 8)
Cd1 0.000 0.319 0.000 (multiplicity 4)
Cd2 0.000 0.500 0.500 (multiplicity 2)
Ru1 0.227 0.000 0.231 (multiplicity 4)

Largest 10 diffraction maxima, sorted by position, 2θ from 10° to 90°:
| two_theta | I_rel | (hkl) |
| --- | --- | --- |
| 29.81 | 30 | 2 2 -1 |
| 30.24 | 100 | 2 2 1 |
| 30.42 | 19 | 6 0 0 |
| 32.34 | 28 | 5 1 -1 |
| 33.33 | 22 | 5 1 1 |
| 34.54 | 28 | 4 2 -1 |
| 35.30 | 24 | 0 0 2 |
| 36.72 | 16 | 3 3 0 |
| 37.40 | 22 | 7 1 0 |
| 44.89 | 17 | 0 4 0 |

---

Entry 11:
For Sm3CdRu, a structure optimized by DFT (GGA-PBE) gives the calculated XRD peak list in this record (Cu Ka).

Structural model:
Cell: 6.645 10.074 16.036 Å, 90.00 90.00 90.00°
Space group Fmmm (No. 69)
Unique sites:
Sm1 0.000 0.000 0.200 (multiplicity 8)
Sm2 0.000 0.192 0.390 (multiplicity 16)
Cd1 0.207 0.000 0.000 (multiplicity 8)
Ru1 0.250 0.250 0.250 (multiplicity 8)

Largest 10 diffraction maxima, sorted by position, 2θ from 10° to 90°:
| two_theta | I_rel | (hkl) |
| --- | --- | --- |
| 28.45 | 31 | 0 2 4 |
| 30.34 | 61 | 1 3 1 |
| 32.24 | 53 | 1 1 5 |
| 34.23 | 100 | 2 2 2 |
| 35.08 | 49 | 2 0 4 |
| 35.65 | 20 | 0 4 0 |
| 38.12 | 30 | 0 2 6 |
| 39.51 | 24 | 2 2 4 |
| 52.36 | 18 | 3 3 3 |
| 55.62 | 28 | 1 5 5 |

---

Entry 12:
For Sm2Zn5CdRu2, a structure optimized by DFT (GGA-PBE) gives the calculated XRD peak list in this record (Cu Ka).

Structural model:
Cell: 9.597 9.597 4.140 Å, 90.00 90.00 90.00°
Space group P4/mbm (No. 127)
Unique sites:
Sm1 0.179 0.321 0.000 (multiplicity 4)
Zn1 0.000 0.500 0.500 (multiplicity 2)
Zn2 0.061 0.785 0.500 (multiplicity 8)
Cd1 0.000 0.000 0.000 (multiplicity 2)
Ru1 0.118 0.618 0.000 (multiplicity 4)

Largest 10 diffraction maxima, sorted by position, 2θ from 10° to 90°:
| two_theta | I_rel | (hkl) |
| --- | --- | --- |
| 21.47 | 15 | 0 0 1 |
| 29.43 | 15 | 3 1 0 |
| 29.99 | 16 | 2 1 1 |
| 34.17 | 33 | 2 2 1 |
| 36.72 | 100 | 3 1 1 |
| 38.68 | 43 | 4 1 0 |
| 40.28 | 43 | 3 2 1 |
| 43.74 | 32 | 0 0 2 |
| 59.79 | 23 | 4 1 2 |
| 75.73 | 22 | 3 1 3 |